No. 1
NaLaMo2: theoretical X-ray diffraction stick pattern (a wavelength of 1.5418 Å), based on the GGA-PBE geometry in Alexandria.
Peak positions follow from Bragg's law for the DFT cell and can differ from measured ones.

Main lines, sorted by position (2θ from 10° to 90°):
| 2θ (°) | I (rel.) |
| --- | --- |
| 22.4 | 239 |
| 25.9 | 13 |
| 37.0 | 1000 |
| 43.7 | 124 |
| 53.3 | 169 |
| 58.6 | 53 |
| 66.7 | 340 |
| 71.3 | 40 |
| 78.8 | 106 |
| 83.2 | 41 |

Structural model:
```
16
Lattice="6.8691 0.0000 0.0000 0.0000 6.8691 0.0000 0.0000 0.0000 6.8691" Properties=species:S:1:pos:R:3 pbc="T T T"
Na 0.0000 0.0000 0.0000
Na 0.0000 3.4345 3.4345
Na 3.4345 0.0000 3.4345
Na 3.4345 3.4345 0.0000
La 0.0000 0.0000 3.4345
La 0.0000 3.4345 0.0000
La 3.4345 0.0000 0.0000
La 3.4345 3.4345 3.4345
Mo 1.7173 1.7173 1.7173
Mo 1.7173 1.7173 5.1518
Mo 1.7173 5.1518 1.7173
Mo 1.7173 5.1518 5.1518
Mo 5.1518 1.7173 1.7173
Mo 5.1518 1.7173 5.1518
Mo 5.1518 5.1518 1.7173
Mo 5.1518 5.1518 5.1518
```

No. 2
Ac4TlPb2N2: theoretical X-ray diffraction stick pattern (a wavelength of 1.5418 Å), based on the GGA-PBE geometry in Alexandria.
Peak positions follow from Bragg's law for the DFT cell and can differ from measured ones.

Main lines, sorted by position (2θ from 10° to 90°):
| 2θ (°) | I (rel.) |
| --- | --- |
| 24.7 | 380 |
| 26.3 | 350 |
| 26.8 | 515 |
| 27.1 | 756 |
| 28.9 | 606 |
| 31.0 | 1000 |
| 32.3 | 509 |
| 34.8 | 336 |
| 49.6 | 334 |
| 53.1 | 513 |

Structural model:
```
9
Lattice="9.8928 -2.0279 0.0000 9.8928 2.0279 0.0000 -2.7238 0.0000 7.3945" Properties=species:S:1:pos:R:3 pbc="T T T"
Ac 0.2913 0.0000 2.8057
Ac 3.4183 0.0000 5.3340
Ac 13.6434 0.0000 2.0604
Ac 16.7705 0.0000 4.5887
Tl 9.8928 0.0000 0.0000
Pb 7.0744 0.0000 1.5743
Pb 9.9873 0.0000 5.8202
N 2.6104 0.0000 2.9251
N 14.4514 0.0000 4.4693
```

No. 3
In10Ga3Pb: theoretical X-ray diffraction stick pattern (a wavelength of 1.5418 Å), based on the GGA-PBE geometry in Alexandria.
Peak positions follow from Bragg's law for the DFT cell and can differ from measured ones.

Main lines, sorted by position (2θ from 10° to 90°):
| 2θ (°) | I (rel.) |
| --- | --- |
| 27.4 | 404 |
| 30.1 | 267 |
| 31.9 | 1000 |
| 34.9 | 569 |
| 36.5 | 553 |
| 41.1 | 449 |
| 53.4 | 307 |
| 57.7 | 160 |
| 62.5 | 361 |
| 87.6 | 163 |

Structural model:
```
28
Lattice="0.0000 7.2795 7.2795 7.2795 0.0000 7.2795 7.2795 7.2795 0.0000" Properties=species:S:1:pos:R:3 pbc="T T T"
In 2.5242 2.5242 0.0000
In 4.7554 4.7554 0.0000
In 2.5242 0.0000 2.5242
In 7.2795 4.7554 2.5242
In 4.7554 0.0000 4.7554
In 7.2795 2.5242 4.7554
In 9.0582 5.5008 5.5008
In 0.0000 2.5242 2.5242
In 4.7554 7.2795 2.5242
In 4.7554 2.5242 7.2795
In 5.5008 5.5008 5.5008
In 9.0582 9.0582 5.5008
In 9.0582 5.5008 9.0582
In 5.5008 9.0582 5.5008
In 5.5008 5.5008 9.0582
In 9.0582 9.0582 9.0582
In 0.0000 4.7554 4.7554
In 2.5242 7.2795 4.7554
In 2.5242 4.7554 7.2795
In 5.5008 9.0582 9.0582
Ga 7.2795 7.2795 3.9285
Ga 7.2795 3.9285 7.2795
Ga 10.6306 7.2795 7.2795
Ga 3.9285 7.2795 7.2795
Ga 7.2795 10.6306 7.2795
Ga 7.2795 7.2795 10.6306
Pb 3.6398 3.6398 3.6398
Pb 10.9193 10.9193 10.9193
```

No. 4
GaAg2AuF6: theoretical X-ray diffraction stick pattern (a wavelength of 1.5418 Å), based on the GGA-PBE geometry in Alexandria.
Peak positions follow from Bragg's law for the DFT cell and can differ from measured ones.

Main lines, sorted by position (2θ from 10° to 90°):
| 2θ (°) | I (rel.) |
| --- | --- |
| 16.8 | 684 |
| 26.9 | 619 |
| 27.6 | 1000 |
| 33.4 | 202 |
| 33.5 | 207 |
| 35.9 | 295 |
| 36.0 | 424 |
| 37.0 | 392 |
| 37.5 | 205 |
| 45.7 | 221 |

Structural model:
```
10
Lattice="5.1887 0.0000 0.0000 -1.3507 5.4702 0.0000 -1.3697 -1.4760 5.2898" Properties=species:S:1:pos:R:3 pbc="T T T"
Ga 0.0000 0.0000 0.0000
Ag 1.2361 3.1776 1.7414
Ag 1.2322 0.8165 3.5484
Au -1.3602 1.9971 2.6449
F -1.2003 3.2179 4.2731
F -0.4963 0.2121 5.2670
F -0.4752 5.0062 1.6241
F 2.9435 -1.0120 3.6657
F 2.9645 3.7820 0.0229
F 3.6686 0.7763 1.0167
```

No. 5
ZnTcBr2: theoretical X-ray diffraction stick pattern (a wavelength of 1.5418 Å), based on the GGA-PBE geometry in Alexandria.
Peak positions follow from Bragg's law for the DFT cell and can differ from measured ones.

Main lines, sorted by position (2θ from 10° to 90°):
| 2θ (°) | I (rel.) |
| --- | --- |
| 10.3 | 1000 |
| 12.7 | 363 |
| 23.2 | 124 |
| 24.6 | 174 |
| 25.4 | 128 |
| 25.6 | 157 |
| 28.6 | 272 |
| 28.9 | 168 |
| 42.8 | 141 |
| 43.0 | 245 |

Structural model:
```
8
Lattice="3.7056 0.0000 0.0000 -0.0179 7.6648 0.0000 -1.7620 -3.7597 8.5509" Properties=species:S:1:pos:R:3 pbc="T T T"
Zn 0.0000 0.0000 0.0000
Zn 0.0911 -1.8068 8.1718
Tc 0.0734 3.7332 6.6432
Tc 0.0732 2.1010 8.0103
Br 0.0007 2.4776 1.3279
Br 0.0840 0.0761 6.5223
Br 1.8290 6.4867 1.8827
Br 1.9265 3.5388 4.8550
```

No. 6
MgAl2H8: theoretical X-ray diffraction stick pattern (a wavelength of 1.5418 Å), based on the GGA-PBE geometry in Alexandria.
Peak positions follow from Bragg's law for the DFT cell and can differ from measured ones.

Main lines, sorted by position (2θ from 10° to 90°):
| 2θ (°) | I (rel.) |
| --- | --- |
| 17.1 | 238 |
| 21.8 | 1000 |
| 24.3 | 516 |
| 28.8 | 233 |
| 29.9 | 367 |
| 33.0 | 211 |
| 34.6 | 585 |
| 38.1 | 422 |
| 40.2 | 288 |
| 44.2 | 310 |

Structural model:
```
22
Lattice="5.3893 -3.1744 0.0000 5.3893 3.1744 0.0000 -4.6668 0.0000 7.0755" Properties=species:S:1:pos:R:3 pbc="T T T"
Mg 1.8891 1.6413 5.3067
Mg 4.2225 -1.6413 1.7689
Al 2.1579 0.2290 0.0906
Al -0.1755 -0.2290 3.6284
Al 6.2872 0.2290 3.4472
Al 3.9538 -0.2290 6.9849
H 2.0933 2.2026 3.4660
H -0.7677 1.4717 6.9021
H 0.3390 0.1947 2.1088
H -1.9944 -0.1947 5.6465
H 6.3518 2.2026 0.0718
H 0.6995 0.2191 4.9246
H 3.0329 -0.2191 1.3868
H 4.5460 1.4717 3.7112
H 1.5657 -1.4717 3.3644
H 3.0788 0.2191 5.6887
H 5.4122 -0.2191 2.1509
H -0.2402 -2.2026 7.0038
H 8.1061 0.1947 1.4290
H 5.7727 -0.1947 4.9668
H 6.8794 -1.4717 0.1734
H 4.0184 -2.2026 3.6095
```

No. 7
Ag4I2Cl5: theoretical X-ray diffraction stick pattern (a wavelength of 1.5418 Å), based on the GGA-PBE geometry in Alexandria.
Peak positions follow from Bragg's law for the DFT cell and can differ from measured ones.

Main lines, sorted by position (2θ from 10° to 90°):
| 2θ (°) | I (rel.) |
| --- | --- |
| 12.8 | 373 |
| 14.2 | 284 |
| 18.6 | 167 |
| 18.8 | 1000 |
| 25.7 | 157 |
| 25.9 | 200 |
| 26.4 | 184 |
| 34.2 | 362 |
| 36.1 | 193 |
| 36.6 | 244 |

Structural model:
```
11
Lattice="6.7624 0.0000 0.0000 -2.8793 6.9492 0.0000 -0.3369 -0.3918 7.9424" Properties=species:S:1:pos:R:3 pbc="T T T"
Ag 0.4486 2.2785 0.2521
Ag -0.5042 4.6712 2.9974
Ag 4.0505 1.8862 4.9450
Ag 3.0977 4.2790 7.6903
I -1.9472 4.4729 5.4387
I 5.4935 2.0846 2.5036
Cl -1.8003 5.9870 1.0531
Cl 1.8659 2.5918 6.3662
Cl 3.2128 -0.1959 3.9712
Cl 1.6803 3.9657 1.5762
Cl 5.3465 0.5705 6.8893
```

No. 8
DyHoEr2: theoretical X-ray diffraction stick pattern (a wavelength of 1.5418 Å), based on the GGA-PBE geometry in Alexandria.
Peak positions follow from Bragg's law for the DFT cell and can differ from measured ones.

Main lines, sorted by position (2θ from 10° to 90°):
| 2θ (°) | I (rel.) |
| --- | --- |
| 28.7 | 239 |
| 32.1 | 238 |
| 33.0 | 1000 |
| 43.6 | 155 |
| 50.9 | 198 |
| 57.8 | 203 |
| 61.4 | 225 |
| 61.9 | 109 |
| 84.3 | 94 |
| 88.9 | 85 |

Structural model:
```
16
Lattice="6.2115 0.0000 0.0000 0.0000 7.1878 0.0000 -0.0003 0.0000 11.1476" Properties=species:S:1:pos:R:3 pbc="T T T"
Dy 1.0393 0.0011 1.3936
Dy 1.0391 7.1867 6.9674
Dy 5.1722 0.0011 4.1802
Dy 5.1720 7.1867 9.7541
Ho 2.0699 1.8023 4.1834
Ho 2.0698 5.3855 9.7572
Ho 4.1415 1.8023 1.3904
Ho 4.1414 5.3855 6.9642
Er 1.0386 3.5931 1.3940
Er 1.0385 3.5948 6.9678
Er 2.0662 1.8032 9.7511
Er 2.0664 5.3846 4.1772
Er 4.1449 1.8032 6.9704
Er 4.1451 5.3846 1.3966
Er 5.1728 3.5931 4.1798
Er 5.1727 3.5948 9.7536
```

No. 9
MnSnSeBr2: theoretical X-ray diffraction stick pattern (a wavelength of 1.5418 Å), based on the GGA-PBE geometry in Alexandria.
Peak positions follow from Bragg's law for the DFT cell and can differ from measured ones.

Main lines, sorted by position (2θ from 10° to 90°):
| 2θ (°) | I (rel.) |
| --- | --- |
| 24.4 | 169 |
| 30.1 | 1000 |
| 34.5 | 324 |
| 35.1 | 618 |
| 50.0 | 443 |
| 50.5 | 216 |
| 59.1 | 149 |
| 59.9 | 286 |
| 62.6 | 224 |
| 81.4 | 125 |

Structural model:
```
5
Lattice="5.1147 0.0000 0.0000 0.0000 5.1147 0.0000 0.0000 0.0000 5.2002" Properties=species:S:1:pos:R:3 pbc="T T T"
Mn 0.0000 0.0000 0.0000
Sn 2.5573 2.5573 2.6001
Se 0.0000 0.0000 2.6001
Br 0.0000 2.5573 0.0000
Br 2.5573 0.0000 0.0000
```

No. 10
K3MnH6: theoretical X-ray diffraction stick pattern (a wavelength of 1.5418 Å), based on the GGA-PBE geometry in Alexandria.
Peak positions follow from Bragg's law for the DFT cell and can differ from measured ones.

Main lines, sorted by position (2θ from 10° to 90°):
| 2θ (°) | I (rel.) |
| --- | --- |
| 29.7 | 1000 |
| 31.4 | 465 |
| 39.9 | 116 |
| 45.0 | 146 |
| 51.6 | 190 |
| 54.8 | 307 |
| 61.7 | 101 |
| 66.2 | 82 |
| 83.6 | 82 |
| 88.0 | 72 |

Structural model:
```
10
Lattice="-2.8500 2.8500 4.5205 2.8500 -2.8500 4.5205 2.8500 2.8500 -4.5205" Properties=species:S:1:pos:R:3 pbc="T T T"
K 0.0000 0.0000 0.0000
K 2.8500 0.0000 2.2602
K 0.0000 2.8500 2.2602
Mn 0.0000 0.0000 4.5205
H 2.8500 1.2044 0.0000
H 0.0000 0.0000 2.8112
H 1.2044 2.8500 0.0000
H 1.6456 0.0000 4.5205
H 0.0000 0.0000 6.2297
H 0.0000 1.6456 4.5205
```

No. 11
IO3: theoretical X-ray diffraction stick pattern (a wavelength of 1.5418 Å), based on the GGA-PBE geometry in Alexandria.
Peak positions follow from Bragg's law for the DFT cell and can differ from measured ones.

Main lines, sorted by position (2θ from 10° to 90°):
| 2θ (°) | I (rel.) |
| --- | --- |
| 20.1 | 412 |
| 20.4 | 188 |
| 27.6 | 1000 |
| 27.8 | 542 |
| 35.5 | 221 |
| 45.3 | 224 |
| 45.8 | 128 |
| 52.6 | 133 |
| 52.9 | 293 |
| 59.2 | 119 |

Structural model:
```
16
Lattice="4.7404 0.0000 0.0000 0.0000 5.1244 0.0000 0.0000 0.0000 8.7243" Properties=species:S:1:pos:R:3 pbc="T T T"
I 1.1449 1.1033 2.9189
I 1.2253 4.0211 7.2810
I 3.5151 1.4589 5.8054
I 3.5956 3.6655 1.4433
O 0.0285 0.4073 1.5679
O 0.0703 0.3770 7.3170
O 0.0703 0.4896 4.3688
O 2.3000 4.6348 0.0066
O 2.2999 4.7474 2.9548
O 2.3417 4.7170 5.9301
O 2.3988 2.1549 7.1564
O 2.4405 2.0726 4.3555
O 2.4406 2.1852 1.4073
O 4.6701 2.9392 5.7695
O 4.6702 3.0518 8.7176
O 4.7119 2.9695 2.7942
```

No. 12
Tl2SnHg7: theoretical X-ray diffraction stick pattern (a wavelength of 1.5418 Å), based on the GGA-PBE geometry in Alexandria.
Peak positions follow from Bragg's law for the DFT cell and can differ from measured ones.

Main lines, sorted by position (2θ from 10° to 90°):
| 2θ (°) | I (rel.) |
| --- | --- |
| 27.5 | 436 |
| 29.4 | 569 |
| 32.8 | 1000 |
| 33.0 | 290 |
| 33.4 | 917 |
| 36.4 | 759 |
| 37.1 | 493 |
| 37.4 | 426 |
| 39.2 | 371 |
| 39.3 | 419 |

Structural model:
```
10
Lattice="9.8856 0.0000 0.0000 0.0000 3.2414 0.0000 -4.7326 0.0000 9.6991" Properties=species:S:1:pos:R:3 pbc="T T T"
Tl 0.0056 0.0000 3.4319
Tl 5.1473 0.0000 6.2672
Sn 4.9428 1.6207 0.0000
Hg 0.0000 0.0000 0.0000
Hg -2.0909 0.0000 7.9645
Hg 0.1865 1.6207 6.2806
Hg 2.6674 0.0000 1.7943
Hg 2.4855 0.0000 7.9048
Hg 4.9664 1.6207 3.4185
Hg 7.2438 0.0000 1.7346
```